No. 1
# Rb3HS2O8
Theoretical powder X-ray diffraction pattern, CuKα. Input: a DFT-relaxed cell (GGA-PBE, Alexandria).

Largest 8 diffraction maxima, by angle, 2θ from 10° to 90°:
26.04°, rel. 100; 29.52°, rel. 22; 29.94°, rel. 48; 39.75°, rel. 20; 40.44°, rel. 14; 43.31°, rel. 12; 50.83°, rel. 12; 62.25°, rel. 11

Crystal structure
Cell: 15.5833 6.0524 10.2909 Å, 90.00 103.27 90.00°
Space group Cc (No. 9)
Unique sites:
Rb  0.0000  0.2172  0.0000 (multiplicity 4)
Rb  0.1234  0.2812  0.6947 (multiplicity 4)
Rb  0.3147  0.2580  0.0976 (multiplicity 4)
H  0.3110  0.0219  0.3542 (multiplicity 4)
S  0.1958  0.2161  0.3811 (multiplicity 4)
S  0.4257  0.2140  0.8128 (multiplicity 4)
O  0.1606  0.0238  0.4401 (multiplicity 4)
O  0.1610  0.2292  0.2350 (multiplicity 4)
O  0.1870  0.4247  0.4497 (multiplicity 4)
O  0.2988  0.1774  0.4033 (multiplicity 4)
O  0.3264  0.1708  0.7936 (multiplicity 4)
O  0.4374  0.4230  0.7445 (multiplicity 4)
O  0.4644  0.0230  0.7551 (multiplicity 4)
O  0.4641  0.2292  0.9593 (multiplicity 4)

No. 2
# Fe8TcMo3
Theoretical powder X-ray diffraction pattern, CuKα. Input: a DFT-relaxed cell (GGA-PBE, Alexandria).

Largest 8 diffraction maxima, by angle, 2θ from 10° to 90°:
38.63°, rel. 51; 41.49°, rel. 100; 45.41°, rel. 98; 46.49°, rel. 75; 71.86°, rel. 34; 74.67°, rel. 21; 77.65°, rel. 31; 82.84°, rel. 24

Crystal structure
Cell: 4.6612 4.6612 7.7517 Å, 90.00 90.00 120.00°
Space group P3m1 (No. 156)
Unique sites:
Fe  0.0000  0.0000  0.0000 (multiplicity 1)
Fe  0.0000  0.0000  0.4993 (multiplicity 1)
Fe  0.1701  0.3402  0.7493 (multiplicity 3)
Fe  0.3407  0.1703  0.2485 (multiplicity 3)
Tc  0.6667  0.3333  0.5643 (multiplicity 1)
Mo  0.3333  0.6667  0.0701 (multiplicity 1)
Mo  0.3333  0.6667  0.4365 (multiplicity 1)
Mo  0.6667  0.3333  0.9255 (multiplicity 1)

No. 3
# MgTiAgPb
Theoretical powder X-ray diffraction pattern, CuKα. Input: a DFT-relaxed cell (GGA-PBE, Alexandria).

Largest 8 diffraction maxima, by angle, 2θ from 10° to 90°:
22.31°, rel. 13; 25.82°, rel. 48; 36.84°, rel. 100; 45.53°, rel. 15; 53.08°, rel. 17; 59.94°, rel. 20; 66.36°, rel. 35; 89.90°, rel. 16

Crystal structure
Cell: 6.9011 6.9011 6.9011 Å, 90.00 90.00 90.00°
Space group F-43m (No. 216)
Unique sites:
Mg  0.0000  0.0000  0.0000 (multiplicity 4)
Ti  0.0000  0.0000  0.5000 (multiplicity 4)
Ag  0.2500  0.2500  0.7500 (multiplicity 4)
Pb  0.2500  0.2500  0.2500 (multiplicity 4)